For Sr, a cell relaxed with PBE gives the computed powder diffraction line list in this record (Cu Kα).

```
data_Sr
_chemical_formula_sum 'Sr4'
_space_group_name_H-M_alt 'F m -3 m'
_space_group_IT_number 225
_space_group_name_Hall '-F 4 2 3'
_cell_length_a 6.023
_cell_length_b 6.023
_cell_length_c 6.023
_cell_angle_alpha 90.00
_cell_angle_beta 90.00
_cell_angle_gamma 90.00
loop_
_atom_site_label
_atom_site_type_symbol
_atom_site_fract_x
_atom_site_fract_y
_atom_site_fract_z
Sr1 Sr 0.000 0.000 0.000
```

Principal peaks in the range 2θ = 5–70°, in order of rising 2θ:
d/Å, intensity, (hkl)
3.477, 100.0, 1 1 1
3.011, 51.6, 2 0 0
2.129, 38.4, 2 2 0
1.816, 46.6, 3 1 1
1.739, 13.5, 2 2 2
1.506, 6.3, 4 0 0
1.382, 18.9, 3 3 1
1.347, 17.4, 4 2 0



For Nb6Si7Ni16, a cell relaxed with PBE gives the computed powder diffraction line list in this record (Cu Kα).

```
data_Nb6Si7Ni16
_chemical_formula_sum 'Nb24 Si28 Ni64'
_space_group_name_H-M_alt 'F m -3 m'
_space_group_IT_number 225
_space_group_name_Hall '-F 4 2 3'
_cell_length_a 11.259
_cell_length_b 11.259
_cell_length_c 11.259
_cell_angle_alpha 90.00
_cell_angle_beta 90.00
_cell_angle_gamma 90.00
loop_
_atom_site_label
_atom_site_type_symbol
_atom_site_fract_x
_atom_site_fract_y
_atom_site_fract_z
Nb1 Nb 0.000 0.000 0.203
Si1 Si 0.000 0.000 0.500
Si2 Si 0.000 0.250 0.250
Ni1 Ni 0.117 0.117 0.383
Ni2 Ni 0.168 0.168 0.168
```

Principal peaks in the range 2θ = 5–70°, in order of rising 2θ:
d/Å, intensity, (hkl)
3.250, 20.4, 2 2 2
2.583, 5.8, 3 3 1
2.518, 5.7, 4 2 0
2.298, 23.1, 4 2 2
2.167, 100.0, 3 3 3
1.990, 82.4, 4 4 0
1.903, 15.2, 5 3 1
1.876, 14.8, 6 0 0
1.717, 7.0, 5 3 3
1.466, 12.2, 7 3 1



For CsCuF4, a cell relaxed with PBE gives the computed powder diffraction line list in this record (Cu Kα).

```
data_CsCuF4
_chemical_formula_sum 'Cs4 Cu4 F16'
_space_group_name_H-M_alt 'I 4/m c m'
_space_group_IT_number 140
_space_group_name_Hall '-I 4 2c'
_cell_length_a 6.313
_cell_length_b 6.313
_cell_length_c 12.345
_cell_angle_alpha 90.00
_cell_angle_beta 90.00
_cell_angle_gamma 90.00
loop_
_atom_site_label
_atom_site_type_symbol
_atom_site_fract_x
_atom_site_fract_y
_atom_site_fract_z
Cs1 Cs 0.000 0.000 0.250
Cu1 Cu 0.000 0.500 0.000
F1 F 0.141 0.359 0.101
```

Principal peaks in the range 2θ = 5–70°, in order of rising 2θ:
d/Å, intensity, (hkl)
3.617, 100.0, 1 1 2
3.157, 26.8, 2 0 0
2.232, 12.4, 2 2 0
2.207, 26.3, 2 0 4
1.900, 25.7, 3 1 2
1.869, 10.8, 1 1 6
1.809, 12.1, 2 2 4
1.447, 6.8, 3 3 2
1.433, 14.7, 3 1 6
1.405, 8.2, 4 0 4



For CaCO3, a cell relaxed with PBE gives the computed powder diffraction line list in this record (Cu Kα).

```
data_CaCO3
_chemical_formula_sum 'Ca4 C4 O12'
_space_group_name_H-M_alt 'P -1'
_space_group_IT_number 2
_space_group_name_Hall '-P 1'
_cell_length_a 6.263
_cell_length_b 6.494
_cell_length_c 6.503
_cell_angle_alpha 93.06
_cell_angle_beta 106.77
_cell_angle_gamma 105.92
loop_
_atom_site_label
_atom_site_type_symbol
_atom_site_fract_x
_atom_site_fract_y
_atom_site_fract_z
Ca1 Ca 0.043 0.264 0.335
Ca2 Ca 0.453 0.810 0.222
C1 C 0.011 0.242 0.780
C2 C 0.490 0.273 0.268
O1 O 0.031 0.765 0.039
O2 O 0.088 0.648 0.361
O3 O 0.137 0.134 0.722
O4 O 0.380 0.140 0.376
O5 O 0.389 0.802 0.834
O6 O 0.472 0.463 0.262
```

Principal peaks in the range 2θ = 5–70°, in order of rising 2θ:
d/Å, intensity, (hkl)
3.086, 100.0, 0 2 0
2.933, 12.7, 0 1 -2
2.857, 54.1, 2 0 0
2.531, 11.6, 2 0 -2
2.160, 21.0, 1 0 -3
2.083, 10.4, -3 1 1
1.902, 11.4, 2 -1 2
1.839, 20.0, 2 2 0
1.803, 11.2, 1 2 -3
1.608, 12.1, 2 -3 2



For La2InCuS5, a cell relaxed with PBE gives the computed powder diffraction line list in this record (Cu Kα).

```
data_La2InCuS5
_chemical_formula_sum 'La8 In4 Cu4 S20'
_space_group_name_H-M_alt 'P n m a'
_space_group_IT_number 62
_space_group_name_Hall '-P 2ac 2n'
_cell_length_a 11.605
_cell_length_b 3.980
_cell_length_c 16.920
_cell_angle_alpha 90.00
_cell_angle_beta 90.00
_cell_angle_gamma 90.00
loop_
_atom_site_label
_atom_site_type_symbol
_atom_site_fract_x
_atom_site_fract_y
_atom_site_fract_z
La1 La 0.020 0.250 0.179
La2 La 0.135 0.750 0.592
In1 In 0.195 0.750 0.359
Cu1 Cu 0.095 0.750 0.997
S1 S 0.014 0.250 0.694
S2 S 0.101 0.250 0.926
S3 S 0.114 0.250 0.462
S4 S 0.182 0.750 0.117
S5 S 0.240 0.750 0.770
```

Principal peaks in the range 2θ = 5–70°, in order of rising 2θ:
d/Å, intensity, (hkl)
3.771, 35.0, 3 0 1
3.282, 33.8, 2 1 0
3.249, 29.6, 1 0 5
3.131, 33.9, 1 1 3
2.812, 100.0, 1 1 4
2.744, 43.5, 4 0 2
2.636, 28.3, 3 1 2
2.356, 29.3, 2 1 5
1.989, 52.8, 0 2 0
1.951, 32.0, 5 1 2